Record 1
Structure and simulated powder diffraction line list of Cs2CdBiH (a cell relaxed with PBE; Cu Kα X-rays).

Structure:
```
data_Cs2CdBiH
_chemical_formula_sum 'Cs4 Cd2 Bi2 H2'
_space_group_name_H-M_alt 'P 1 21/m 1'
_space_group_IT_number 11
_cell_length_a 8.0536
_cell_length_b 4.9398
_cell_length_c 11.0679
_cell_angle_alpha 90.00
_cell_angle_beta 109.61
_cell_angle_gamma 90.00
loop_
_space_group_symop_operation_xyz
'x,y,z'
'-x,-y,-z'
'-x,y+1/2,-z'
'x,-y+1/2,z'
loop_
_atom_site_label
_atom_site_type_symbol
_atom_site_fract_x
_atom_site_fract_y
_atom_site_fract_z
Cs1 Cs 0.1978 0.2500 0.4023
Cs2 Cs 0.2172 0.2500 0.9561
Cd1 Cd 0.4503 0.7500 0.2390
Bi1 Bi 0.3455 0.7500 0.7114
H1 H 0.2011 0.7500 0.1707
```

Main lines, in order of rising 2θ (2θ from 10° to 90°):
Position (°2θ)	intensity	(hkl)
11.7	34	1 0 0
23.7	34	1 0 2
23.9	37	2 0 -2
24.9	100	1 1 -2
29.7	50	2 1 0
29.9	40	1 1 2
30.1	38	2 1 -2
32.4	37	1 0 -4
36.4	32	0 2 0
49.5	27	1 2 -4

***

Record 2
Structure and simulated powder diffraction line list of Cs2CdHgBi2 (a cell relaxed with PBE; Cu Kα X-rays).

Structure:
```
data_Cs2CdHgBi2
_chemical_formula_sum 'Cs8 Cd4 Hg4 Bi8'
_space_group_name_H-M_alt 'I b a m'
_space_group_IT_number 72
_space_group_name_Hall '-I 2 2c'
_cell_length_a 7.4454
_cell_length_b 17.8630
_cell_length_c 7.4478
_cell_angle_alpha 90.00
_cell_angle_beta 90.00
_cell_angle_gamma 90.00
loop_
_atom_site_label
_atom_site_type_symbol
_atom_site_fract_x
_atom_site_fract_y
_atom_site_fract_z
Cs1 Cs 0.2420 0.1637 0.0000
Cd1 Cd 0.0000 0.5000 0.2500
Hg1 Hg 0.0000 0.0000 0.2500
Bi1 Bi 0.2439 0.4061 0.0000
```

Main lines, in order of rising 2θ (2θ from 10° to 90°):
Position (°2θ)	intensity	(hkl)
23.9	22	0 0 2
25.9	22	2 2 0
26.2	71	1 4 1
31.3	100	0 4 2
34.1	68	2 0 2
43.4	36	1 4 3
44.1	30	1 8 1
48.9	25	0 0 4
56.8	28	1 8 3
59.2	33	2 4 4

***

Record 3
Structure and simulated powder diffraction line list of CsK2CdBi (a cell relaxed with PBE; Cu Kα X-rays).

Structure:
```
data_CsK2CdBi
_chemical_formula_sum 'Cs1 K2 Cd1 Bi1'
_space_group_name_H-M_alt 'P 4/m m m'
_space_group_IT_number 123
_space_group_name_Hall '-P 4 2'
_cell_length_a 6.6860
_cell_length_b 6.6860
_cell_length_c 5.9636
_cell_angle_alpha 90.00
_cell_angle_beta 90.00
_cell_angle_gamma 90.00
loop_
_atom_site_label
_atom_site_type_symbol
_atom_site_fract_x
_atom_site_fract_y
_atom_site_fract_z
Cs1 Cs 0.0000 0.0000 0.0000
K1 K 0.0000 0.5000 0.5000
Cd1 Cd 0.5000 0.5000 0.5000
Bi1 Bi 0.5000 0.5000 0.0000
```

Main lines, in order of rising 2θ (2θ from 10° to 90°):
Position (°2θ)	intensity	(hkl)
13.2	58	1 0 0
18.8	100	1 1 0
24.0	78	1 1 1
26.7	93	2 0 0
29.9	52	0 0 2
35.6	42	1 1 2
38.1	36	2 2 0
40.5	64	2 0 2
42.8	39	3 1 0
49.2	39	2 2 2

***

Record 4
Structure and simulated powder diffraction line list of Cs2Na4CdBi2 (a cell relaxed with PBE; Cu Kα X-rays).

Structure:
```
data_Cs2Na4CdBi2
_chemical_formula_sum 'Cs4 Na8 Cd2 Bi4'
_space_group_name_H-M_alt 'C 1 2/m 1'
_space_group_IT_number 12
_cell_length_a 16.0773
_cell_length_b 8.4052
_cell_length_c 5.7046
_cell_angle_alpha 90.00
_cell_angle_beta 110.61
_cell_angle_gamma 90.00
loop_
_space_group_symop_operation_xyz
'x,y,z'
'-x,-y,-z'
'-x,y,-z'
'x,-y,z'
'x+1/2,y+1/2,z'
'-x+1/2,-y+1/2,-z'
'-x+1/2,y+1/2,-z'
'x+1/2,-y+1/2,z'
loop_
_atom_site_label
_atom_site_type_symbol
_atom_site_fract_x
_atom_site_fract_y
_atom_site_fract_z
Cs1 Cs 0.1316 0.0000 0.1332
Na1 Na 0.1347 0.3009 0.6362
Cd1 Cd 0.0000 0.5000 0.0000
Bi1 Bi 0.1917 0.5000 0.1921
```

Main lines, in order of rising 2θ (2θ from 10° to 90°):
Position (°2θ)	intensity	(hkl)
11.8	33	2 0 0
16.6	90	2 0 -1
21.1	93	0 2 0
23.6	45	2 0 1
27.0	100	2 2 -1
30.4	61	3 1 1
31.4	55	2 0 -2
31.6	57	5 1 0
31.9	74	2 2 1
38.1	42	2 2 -2

***

Record 5
Structure and simulated powder diffraction line list of CsCdBiPb2 (a cell relaxed with PBE; Cu Kα X-rays).

Structure:
```
data_CsCdBiPb2
_chemical_formula_sum 'Cs2 Cd2 Bi2 Pb4'
_space_group_name_H-M_alt 'I m m 2'
_space_group_IT_number 44
_cell_length_a 5.3001
_cell_length_b 5.5451
_cell_length_c 12.7342
_cell_angle_alpha 90.00
_cell_angle_beta 90.00
_cell_angle_gamma 90.00
loop_
_space_group_symop_operation_xyz
'x,y,z'
'-x,-y,z'
'-x,y,z'
'x,-y,z'
'x+1/2,y+1/2,z+1/2'
'-x+1/2,-y+1/2,z+1/2'
'-x+1/2,y+1/2,z+1/2'
'x+1/2,-y+1/2,z+1/2'
loop_
_atom_site_label
_atom_site_type_symbol
_atom_site_fract_x
_atom_site_fract_y
_atom_site_fract_z
Cs1 Cs 0.0000 0.0000 0.0000
Cd1 Cd 0.0000 0.0000 0.3756
Bi1 Bi 0.0000 0.5000 0.7496
Pb1 Pb 0.0000 0.0000 0.6164
Pb2 Pb 0.0000 0.5000 0.2579
```

Main lines, in order of rising 2θ (2θ from 10° to 90°):
Position (°2θ)	intensity	(hkl)
13.9	24	0 0 2
26.4	16	0 1 3
26.9	22	1 0 3
27.2	100	1 1 2
32.3	36	0 2 0
33.8	32	2 0 0
36.7	54	1 1 4
42.5	16	0 0 6
47.5	25	2 2 0
54.5	18	1 3 2

***

Record 6
Structure and simulated powder diffraction line list of Cs2SrCdBi2 (a cell relaxed with PBE; Cu Kα X-rays).

Structure:
```
data_Cs2SrCdBi2
_chemical_formula_sum 'Cs8 Sr4 Cd4 Bi8'
_space_group_name_H-M_alt 'I b a m'
_space_group_IT_number 72
_space_group_name_Hall '-I 2 2c'
_cell_length_a 7.7195
_cell_length_b 18.0313
_cell_length_c 7.8895
_cell_angle_alpha 90.00
_cell_angle_beta 90.00
_cell_angle_gamma 90.00
loop_
_atom_site_label
_atom_site_type_symbol
_atom_site_fract_x
_atom_site_fract_y
_atom_site_fract_z
Cs1 Cs 0.2319 0.1756 0.0000
Sr1 Sr 0.0000 0.5000 0.2500
Cd1 Cd 0.0000 0.0000 0.2500
Bi1 Bi 0.2252 0.0954 0.5000
```

Main lines, in order of rising 2θ (2θ from 10° to 90°):
Position (°2θ)	intensity	(hkl)
18.9	21	1 2 1
22.5	27	0 0 2
23.0	23	2 0 0
25.5	100	1 4 1
30.1	41	0 4 2
30.5	38	2 4 0
32.5	72	2 0 2
41.4	28	1 4 3
42.0	23	3 4 1
43.4	28	1 8 1

***

Record 7
Structure and simulated powder diffraction line list of Cs3Tl2Cd2Bi4 (a cell relaxed with PBE; Cu Kα X-rays).

Structure:
```
data_Cs3Tl2Cd2Bi4
_chemical_formula_sum 'Cs3 Tl2 Cd2 Bi4'
_space_group_name_H-M_alt 'P -3 m 1'
_space_group_IT_number 164
_space_group_name_Hall '-P 3 2"'
_cell_length_a 5.2464
_cell_length_b 5.2464
_cell_length_c 20.9293
_cell_angle_alpha 90.00
_cell_angle_beta 90.00
_cell_angle_gamma 120.00
loop_
_atom_site_label
_atom_site_type_symbol
_atom_site_fract_x
_atom_site_fract_y
_atom_site_fract_z
Cs1 Cs 0.0000 0.0000 0.0000
Cs2 Cs 0.0000 0.0000 0.2915
Tl1 Tl 0.3333 0.6667 0.1495
Cd1 Cd 0.3333 0.6667 0.5569
Bi1 Bi 0.3333 0.6667 0.4115
Bi2 Bi 0.3333 0.6667 0.8590
```

Main lines, in order of rising 2θ (2θ from 10° to 90°):
Position (°2θ)	intensity	(hkl)
12.7	25	0 0 3
16.9	23	0 0 4
23.4	82	0 1 3
26.0	64	1 0 4
29.9	38	0 0 7
34.2	100	1 1 0
38.4	19	1 1 4
46.0	71	1 1 7
61.2	19	3 0 0
69.6	21	3 0 7

***

Record 8
Structure and simulated powder diffraction line list of Dy3CdBi (a cell relaxed with PBE; Cu Kα X-rays).

Structure:
```
data_Dy3CdBi
_chemical_formula_sum 'Dy6 Cd2 Bi2'
_space_group_name_H-M_alt 'P m m n'
_space_group_IT_number 59
_cell_length_a 4.1071
_cell_length_b 6.6153
_cell_length_c 11.1698
_cell_angle_alpha 90.00
_cell_angle_beta 90.00
_cell_angle_gamma 90.00
loop_
_space_group_symop_operation_xyz
'x,y,z'
'-x,-y,-z'
'-x+1/2,-y+1/2,z'
'x+1/2,y+1/2,-z'
'x+1/2,-y,-z'
'-x+1/2,y,z'
'-x,y+1/2,-z'
'x,-y+1/2,z'
loop_
_atom_site_label
_atom_site_type_symbol
_atom_site_fract_x
_atom_site_fract_y
_atom_site_fract_z
Dy1 Dy 0.2500 0.0018 0.1982
Dy2 Dy 0.2500 0.2500 0.5818
Cd1 Cd 0.2500 0.2500 0.9577
Bi1 Bi 0.2500 0.7500 0.6343
```

Main lines, in order of rising 2θ (2θ from 10° to 90°):
Position (°2θ)	intensity	(hkl)
26.9	78	1 0 2
28.1	21	0 2 1
30.2	20	1 1 2
31.4	37	0 2 2
32.5	59	1 0 3
35.8	100	1 2 1
36.3	39	0 2 3
44.1	30	2 0 0
61.5	23	1 2 6
62.8	20	1 4 2

***

Record 9
Structure and simulated powder diffraction line list of Dy6CdBi3 (a cell relaxed with PBE; Cu Kα X-rays).

Structure:
```
data_Dy6CdBi3
_chemical_formula_sum 'Dy24 Cd4 Bi12'
_space_group_name_H-M_alt 'C m c m'
_space_group_IT_number 63
_space_group_name_Hall '-C 2c 2'
_cell_length_a 12.0186
_cell_length_b 11.6145
_cell_length_c 8.4596
_cell_angle_alpha 90.00
_cell_angle_beta 90.00
_cell_angle_gamma 90.00
loop_
_atom_site_label
_atom_site_type_symbol
_atom_site_fract_x
_atom_site_fract_y
_atom_site_fract_z
Dy1 Dy 0.0000 0.1633 0.0027
Dy2 Dy 0.1609 0.5000 0.0000
Dy3 Dy 0.2469 0.2526 0.2500
Cd1 Cd 0.0000 0.3572 0.2500
Bi1 Bi 0.0000 0.3643 0.7500
Bi2 Bi 0.1434 0.0008 0.2500
```

Main lines, in order of rising 2θ (2θ from 10° to 90°):
Position (°2θ)	intensity	(hkl)
30.1	21	2 2 2
31.7	100	3 1 2
32.2	89	1 3 2
33.6	45	4 2 0
34.3	39	2 4 0
42.8	28	0 0 4
55.4	22	4 2 4
55.9	19	2 4 4
63.2	19	7 3 2
64.7	17	3 7 2

***

Record 10
Structure and simulated powder diffraction line list of DyCdBi2 (a cell relaxed with PBE; Cu Kα X-rays).

Structure:
```
data_DyCdBi2
_chemical_formula_sum 'Dy2 Cd2 Bi4'
_space_group_name_H-M_alt 'P 4/n m m'
_space_group_IT_number 129
_cell_length_a 4.5582
_cell_length_b 4.5582
_cell_length_c 10.8645
_cell_angle_alpha 90.00
_cell_angle_beta 90.00
_cell_angle_gamma 90.00
loop_
_space_group_symop_operation_xyz
'x,y,z'
'-x,-y,-z'
'-y+1/2,x,z'
'y+1/2,-x,-z'
'-x+1/2,-y+1/2,z'
'x+1/2,y+1/2,-z'
'y,-x+1/2,z'
'-y,x+1/2,-z'
'x+1/2,-y,-z'
'-x+1/2,y,z'
'-y,-x,-z'
'y,x,z'
'-x,y+1/2,-z'
'x,-y+1/2,z'
'y+1/2,x+1/2,-z'
'-y+1/2,-x+1/2,z'
loop_
_atom_site_label
_atom_site_type_symbol
_atom_site_fract_x
_atom_site_fract_y
_atom_site_fract_z
Dy1 Dy 0.2500 0.2500 0.2305
Cd1 Cd 0.2500 0.7500 0.5000
Bi1 Bi 0.2500 0.2500 0.7165
Bi2 Bi 0.2500 0.7500 0.0000
```

Main lines, in order of rising 2θ (2θ from 10° to 90°):
Position (°2θ)	intensity	(hkl)
32.3	100	1 1 2
33.0	19	0 0 4
38.6	7	1 0 4
39.5	31	2 0 0
52.4	21	2 0 4
57.2	11	2 2 0
58.5	11	1 1 6
67.2	25	3 1 2
67.6	10	2 2 4
86.3	7	3 1 6

***

Record 11
Structure and simulated powder diffraction line list of Er6CdBi3 (a cell relaxed with PBE; Cu Kα X-rays).

Structure:
```
data_Er6CdBi3
_chemical_formula_sum 'Er24 Cd4 Bi12'
_space_group_name_H-M_alt 'C m c m'
_space_group_IT_number 63
_space_group_name_Hall '-C 2c 2'
_cell_length_a 11.9201
_cell_length_b 11.5414
_cell_length_c 8.3939
_cell_angle_alpha 90.00
_cell_angle_beta 90.00
_cell_angle_gamma 90.00
loop_
_atom_site_label
_atom_site_type_symbol
_atom_site_fract_x
_atom_site_fract_y
_atom_site_fract_z
Er1 Er 0.0000 0.1630 0.0044
Er2 Er 0.1597 0.5000 0.0000
Er3 Er 0.2465 0.2525 0.2500
Cd1 Cd 0.0000 0.3569 0.2500
Bi1 Bi 0.0000 0.3627 0.7500
Bi2 Bi 0.1444 0.0005 0.2500
```

Main lines, in order of rising 2θ (2θ from 10° to 90°):
Position (°2θ)	intensity	(hkl)
30.3	21	2 2 2
32.0	100	3 1 2
32.5	90	1 3 2
33.9	46	4 2 0
34.5	39	2 4 0
43.1	28	0 0 4
55.9	22	4 2 4
56.4	19	2 4 4
63.7	19	7 3 2
65.2	17	3 7 2

***

Record 12
Structure and simulated powder diffraction line list of EuCd4Bi (a cell relaxed with PBE; Cu Kα X-rays).

Structure:
```
data_EuCd4Bi
_chemical_formula_sum 'Eu4 Cd16 Bi4'
_space_group_name_H-M_alt 'F -4 3 m'
_space_group_IT_number 216
_space_group_name_Hall 'F -4 2 3'
_cell_length_a 8.6081
_cell_length_b 8.6081
_cell_length_c 8.6081
_cell_angle_alpha 90.00
_cell_angle_beta 90.00
_cell_angle_gamma 90.00
loop_
_atom_site_label
_atom_site_type_symbol
_atom_site_fract_x
_atom_site_fract_y
_atom_site_fract_z
Eu1 Eu 0.0000 0.0000 0.0000
Cd1 Cd 0.1247 0.1247 0.6247
Bi1 Bi 0.2500 0.2500 0.2500
```

Main lines, in order of rising 2θ (2θ from 10° to 90°):
Position (°2θ)	intensity	(hkl)
29.3	42	2 2 0
34.6	100	3 1 1
36.1	27	2 2 2
52.0	17	4 2 2
55.5	34	3 3 3
60.9	27	4 4 0
71.9	12	5 3 3
72.9	10	6 2 2
84.2	9	6 4 2
86.9	22	7 3 1

***

Record 13
Structure and simulated powder diffraction line list of CdBiF (a cell relaxed with PBE; Cu Kα X-rays).

Structure:
```
data_CdBiF
_chemical_formula_sum 'Cd6 Bi6 F6'
_space_group_name_H-M_alt 'P m n 21'
_space_group_IT_number 31
_cell_length_a 12.5208
_cell_length_b 5.6505
_cell_length_c 6.2326
_cell_angle_alpha 90.00
_cell_angle_beta 90.00
_cell_angle_gamma 90.00
loop_
_space_group_symop_operation_xyz
'x,y,z'
'-x+1/2,-y,z+1/2'
'-x,y,z'
'x+1/2,-y,z+1/2'
loop_
_atom_site_label
_atom_site_type_symbol
_atom_site_fract_x
_atom_site_fract_y
_atom_site_fract_z
Cd1 Cd 0.0000 0.1309 0.0000
Cd2 Cd 0.1482 0.6297 0.9855
Bi1 Bi 0.0000 0.4225 0.6154
Bi2 Bi 0.1883 0.0159 0.5885
F1 F 0.0000 0.7917 0.1819
F2 F 0.1440 0.2893 0.1791
```

Main lines, in order of rising 2θ (2θ from 10° to 90°):
Position (°2θ)	intensity	(hkl)
15.9	14	1 0 1
21.2	31	2 1 0
28.6	30	0 0 2
30.2	100	3 1 1
34.9	11	0 2 1
35.6	11	1 2 1
35.9	26	2 1 2
38.8	11	5 0 1
43.4	11	6 0 0
50.9	11	5 2 1